GaCo2B2: theoretical X-ray powder pattern (Cu Ka), based on a DFT-relaxed cell (PBE, Alexandria).
No peak broadening, texture or thermal motion is included.

```
GaCo2B2
1.0
-1.423 1.423 5.819
1.423 -1.423 5.819
1.423 1.423 -5.819
Ga Co B
1 2 2
Cartesian
0.000 0.000 0.000 Ga
0.000 0.000 4.367 Co
0.000 0.000 7.270 Co
1.423 0.000 2.909 B
0.000 1.423 2.909 B
```

Top 12 peaks for 10 to 90 degrees two-theta, sorted by position:
2θ = 15.23°, I 28
2θ = 39.27°, I 100
2θ = 45.07°, I 43
2θ = 47.84°, I 17
2θ = 50.67°, I 47
2θ = 55.54°, I 5
2θ = 64.01°, I 9
2θ = 65.63°, I 17
2θ = 67.02°, I 6
2θ = 79.24°, I 23
2θ = 81.69°, I 13
2θ = 87.35°, I 18

***

Pa2Ga2Co4B: theoretical X-ray powder pattern (Cu Ka), based on a DFT-relaxed cell (PBE, Alexandria).
No peak broadening, texture or thermal motion is included.

```
Pa2Ga2Co4B
1.0
-2.996 2.996 3.671
2.996 -2.996 3.671
2.996 2.996 -3.671
Pa Ga Co B
2 2 4 1
Cartesian
2.996 0.000 1.836 Pa
0.000 2.996 1.836 Pa
0.000 0.000 1.328 Ga
0.000 0.000 6.014 Ga
1.581 1.581 0.000 Co
1.415 -1.415 3.671 Co
-1.415 1.415 3.671 Co
1.415 1.415 3.671 Co
0.000 0.000 3.671 B
```

Top 12 peaks for 10 to 90 degrees two-theta, sorted by position:
2θ = 20.97°, I 32
2θ = 24.24°, I 11
2θ = 29.82°, I 21
2θ = 32.27°, I 36
2θ = 38.80°, I 100
2θ = 42.68°, I 45
2θ = 49.68°, I 17
2θ = 54.49°, I 30
2θ = 61.95°, I 14
2θ = 67.53°, I 18
2θ = 71.58°, I 17
2θ = 75.55°, I 27

***

Gd3Co11B4: theoretical X-ray powder pattern (Cu Ka), based on a DFT-relaxed cell (PBE, Alexandria).
No peak broadening, texture or thermal motion is included.

```
Gd3Co11B4
1.0
5.054 0.000 0.000
-2.527 4.377 0.000
0.000 0.000 9.750
Gd Co B
3 11 4
Cartesian
0.000 0.000 0.000 Gd
0.000 0.000 3.332 Gd
0.000 0.000 6.418 Gd
-1.263 2.188 1.973 Co
-1.263 2.188 4.875 Co
-1.263 2.188 7.776 Co
0.000 2.918 0.000 Co
2.527 0.000 1.973 Co
2.527 0.000 4.875 Co
2.527 0.000 7.776 Co
1.263 2.188 1.973 Co
1.263 2.188 4.875 Co
1.263 2.188 7.776 Co
2.527 1.459 0.000 Co
0.000 2.918 3.410 B
0.000 2.918 6.340 B
2.527 1.459 3.410 B
2.527 1.459 6.340 B
```

Top 12 peaks for 10 to 90 degrees two-theta, sorted by position:
2θ = 20.29°, I 23
2θ = 34.37°, I 100
2θ = 35.53°, I 29
2θ = 41.25°, I 91
2θ = 45.47°, I 95
2θ = 63.06°, I 34
2θ = 68.67°, I 11
2θ = 70.79°, I 23
2θ = 72.44°, I 15
2θ = 75.20°, I 22
2θ = 82.01°, I 10
2θ = 85.36°, I 15

***

GdCo2Ni2B: theoretical X-ray powder pattern (Cu Ka), based on a DFT-relaxed cell (PBE, Alexandria).
No peak broadening, texture or thermal motion is included.

```
GdCo2Ni2B
1.0
2.497 -4.333 0.000
2.497 4.333 0.000
0.000 0.000 6.921
Gd Co Ni B
2 4 4 2
Cartesian
0.000 0.000 0.000 Gd
0.000 0.000 3.435 Gd
1.249 2.166 1.971 Co
1.249 -2.166 1.971 Co
2.497 0.000 2.004 Co
2.497 0.000 4.859 Co
1.249 2.166 4.896 Ni
2.497 1.401 6.907 Ni
1.249 -2.166 4.896 Ni
2.497 -1.401 6.907 Ni
2.497 1.441 3.429 B
2.497 -1.441 3.429 B
```

Top 12 peaks for 10 to 90 degrees two-theta, sorted by position:
2θ = 20.52°, I 13
2θ = 33.14°, I 88
2θ = 35.93°, I 32
2θ = 39.04°, I 11
2θ = 41.73°, I 73
2θ = 44.73°, I 100
2θ = 52.91°, I 13
2θ = 62.82°, I 28
2θ = 65.62°, I 15
2θ = 69.56°, I 16
2θ = 70.74°, I 24
2θ = 76.14°, I 14

***

GdCoNi3B: theoretical X-ray powder pattern (Cu Ka), based on a DFT-relaxed cell (PBE, Alexandria).
No peak broadening, texture or thermal motion is included.

```
GdCoNi3B
1.0
4.996 0.000 0.000
-2.498 4.327 0.000
0.000 0.000 7.004
Gd Co Ni B
2 2 6 2
Cartesian
0.000 0.000 0.000 Gd
0.000 0.000 3.502 Gd
0.000 2.884 0.000 Co
2.498 1.442 0.000 Co
-1.249 2.163 2.049 Ni
-1.249 2.163 4.955 Ni
2.498 0.000 2.049 Ni
2.498 0.000 4.955 Ni
1.249 2.163 2.049 Ni
1.249 2.163 4.955 Ni
0.000 2.884 3.502 B
2.498 1.442 3.502 B
```

Top 12 peaks for 10 to 90 degrees two-theta, sorted by position:
2θ = 20.53°, I 13
2θ = 32.90°, I 92
2θ = 35.95°, I 30
2θ = 38.56°, I 12
2θ = 41.75°, I 77
2θ = 44.55°, I 100
2θ = 52.24°, I 13
2θ = 62.70°, I 29
2θ = 65.05°, I 15
2θ = 69.00°, I 16
2θ = 70.63°, I 24
2θ = 76.23°, I 21

***

GdYCo4B4: theoretical X-ray powder pattern (Cu Ka), based on a DFT-relaxed cell (PBE, Alexandria).
No peak broadening, texture or thermal motion is included.

```
GdYCo4B4
1.0
3.554 0.000 0.000
0.000 3.554 0.000
0.000 0.000 9.504
Gd Y Co B
1 1 4 4
Cartesian
0.000 0.000 0.000 Gd
1.777 1.777 4.752 Y
0.000 1.777 2.396 Co
0.000 1.777 7.109 Co
1.777 0.000 2.396 Co
1.777 0.000 7.109 Co
0.000 0.000 3.313 B
0.000 0.000 6.192 B
1.777 1.777 1.480 B
1.777 1.777 8.024 B
```

Top 12 peaks for 10 to 90 degrees two-theta, sorted by position:
2θ = 26.78°, I 67
2θ = 37.86°, I 29
2θ = 38.05°, I 39
2θ = 40.61°, I 100
2θ = 51.43°, I 29
2θ = 54.77°, I 10
2θ = 58.92°, I 15
2θ = 65.61°, I 22
2θ = 65.73°, I 15
2θ = 70.24°, I 21
2θ = 87.91°, I 10
2θ = 89.65°, I 19